Calculated powder diffractogram of Cd2CoTeO6 for Cu Kα (λ = 1.5418 Å), from the PBE+U geometry in Alexandria.
Peak positions follow from Bragg's law for the DFT cell and can differ from measured ones.

Peak list (10 most intense, 2θ from 10° to 90°, sorted by position)
hkl  Position (°2θ)  d/Å  I/Imax
0 0 1  17.8  4.972  12
1 1 1  29.7  3.007  100
2 0 0  33.6  2.669  35
0 0 2  36.1  2.486  9
1 1 2  43.6  2.076  13
2 2 0  48.2  1.887  22
2 0 2  50.1  1.819  22
3 1 1  57.7  1.599  29
1 1 3  61.1  1.518  8
2 2 2  61.7  1.503  8

Structure:
```
data_Cd2CoTeO6
_space_group_name_H-M_alt 'P 4 m m'
_space_group_IT_number 99
_cell_length_a 5.3384
_cell_length_b 5.3384
_cell_length_c 4.9723
_cell_angle_alpha 90.00
_cell_angle_beta 90.00
_cell_angle_gamma 90.00
loop_
_space_group_symop_operation_xyz
'x,y,z'
'-y,x,z'
'-x,-y,z'
'y,-x,z'
'-x,y,z'
'y,x,z'
'x,-y,z'
'-y,-x,z'
loop_
_atom_site_label
_atom_site_fract_x
_atom_site_fract_y
_atom_site_fract_z
_atom_site_occupancy
Cd1 0.0000 0.5000 0.0000 1
Co1 0.0000 0.0000 0.5573 1
Te1 0.5000 0.5000 0.5955 1
O1 0.0000 0.0000 0.2006 1
O2 0.2501 0.2501 0.7135 1
O3 0.5000 0.5000 0.2132 1
```